# Rb5ErMo4O16
Calculated PXRD pattern, Cu Kα (λ = 1.5418 Å). Input: the GGA+U geometry in Alexandria.
Lines closer than 0.1° are merged.

Structure:
a = 11.8571 Å, b = 8.1944 Å, c = 11.4361 Å
α = 90.00°, β = 113.63°, γ = 90.00°
Fractional positions:
Rb  0.0000  0.1176  0.2500
Rb  0.0000  0.8824  0.7500
Rb  0.0913  0.3685  0.6430
Rb  0.0913  0.6315  0.1430
Rb  0.3892  0.1549  0.8438
Rb  0.3892  0.8451  0.3438
Rb  0.6108  0.1549  0.6562
Rb  0.6108  0.8451  0.1562
Rb  0.9087  0.3685  0.8570
Rb  0.9087  0.6315  0.3570
Er  0.5000  0.4123  0.2500
Er  0.5000  0.5877  0.7500
Mo  0.2124  0.1583  0.0552
Mo  0.2124  0.8417  0.5552
Mo  0.3088  0.3495  0.4456
Mo  0.3088  0.6505  0.9456
Mo  0.6912  0.3495  0.0544
Mo  0.6912  0.6505  0.5544
Mo  0.7876  0.1583  0.4448
Mo  0.7876  0.8417  0.9448
O  0.1224  0.2926  0.1052
O  0.1224  0.7074  0.6052
O  0.1509  0.1705  0.8845
O  0.1506  0.3978  0.3961
O  0.1506  0.6022  0.8961
O  0.1509  0.8295  0.3845
O  0.1939  0.0426  0.6059
O  0.1939  0.9574  0.1059
O  0.3303  0.1410  0.4213
O  0.3303  0.8590  0.9213
O  0.3757  0.2230  0.1226
O  0.3755  0.4679  0.3534
O  0.3755  0.5321  0.8534
O  0.3757  0.7770  0.6226
O  0.3886  0.3879  0.6172
O  0.3886  0.6121  0.1172
O  0.6114  0.3879  0.8828
O  0.6114  0.6121  0.3828
O  0.6243  0.2230  0.3774
O  0.6245  0.4679  0.1466
O  0.6245  0.5321  0.6466
O  0.6243  0.7770  0.8774
O  0.6697  0.1410  0.0787
O  0.6697  0.8590  0.5787
O  0.8061  0.0426  0.8941
O  0.8061  0.9574  0.3941
O  0.8491  0.1705  0.6155
O  0.8494  0.3978  0.1039
O  0.8494  0.6022  0.6039
O  0.8491  0.8295  0.1155
O  0.8776  0.2926  0.3948
O  0.8776  0.7074  0.8948

The 10 most intense peaks (2θ from 10° to 90°), in order of falling intensity:
25.9 deg, rel. 100, (1 2 1); 26.5 deg, rel. 63, (2 1 -3); 26.0 deg, rel. 50, (3 1 -2); 28.0 deg, rel. 49, (2 0 2); 32.5 deg, rel. 34, (4 1 -1); 48.3 deg, rel. 25, (6 0 -4); 33.6 deg, rel. 23, (1 1 -4); 40.8 deg, rel. 22, (3 3 -2); 44.6 deg, rel. 15, (0 1 5); 46.3 deg, rel. 15, (1 3 -4)